[1]
Structure and computed powder diffraction line list of Sc2Be15Al2 (a structure optimized by DFT (GGA-PBE); Cu Kα (weighted mean of Kα1 and Kα2)).

Atomic structure:
Unit cell a=5.841 b=5.841 c=5.841 alpha=82.94 beta=82.94 gamma=82.94
Fractional coordinates of all 19 atoms:
Sc: 0.155 0.155 0.155
Sc: 0.845 0.845 0.845
Be: 0.000 0.500 0.500
Be: 0.153 0.153 0.665
Be: 0.153 0.665 0.153
Be: 0.202 0.500 0.798
Be: 0.202 0.798 0.500
Be: 0.335 0.847 0.847
Be: 0.500 0.000 0.500
Be: 0.500 0.202 0.798
Be: 0.500 0.500 0.000
Be: 0.500 0.798 0.202
Be: 0.665 0.153 0.153
Be: 0.798 0.202 0.500
Be: 0.798 0.500 0.202
Be: 0.847 0.335 0.847
Be: 0.847 0.847 0.335
Al: 0.394 0.394 0.394
Al: 0.606 0.606 0.606

Largest 10 diffraction maxima, in order of rising 2θ, 2θ from 5° to 70°:
Position (°2θ)  Rel. int.
22.99  100
33.21  29
34.48  34
40.39  47
41.85  29
46.99  40
47.33  29
48.30  37
63.65  12
69.68  15


[2]
Structure and computed powder diffraction line list of BaZrB2O6 (a structure optimized by DFT (GGA-PBE); Cu Kα (weighted mean of Kα1 and Kα2)).

Atomic structure:
Unit cell a=11.991 b=11.991 c=11.991 alpha=25.11 beta=25.11 gamma=25.11
Fractional coordinates of all 20 atoms:
Ba: 0.250 0.250 0.250
Ba: 0.750 0.750 0.750
Zr: 0.000 0.000 0.000
Zr: 0.500 0.500 0.500
B: 0.131 0.131 0.131
B: 0.369 0.369 0.369
B: 0.631 0.631 0.631
B: 0.869 0.869 0.869
O: 0.158 0.667 0.283
O: 0.167 0.658 0.783
O: 0.217 0.833 0.342
O: 0.283 0.158 0.667
O: 0.333 0.717 0.842
O: 0.342 0.217 0.833
O: 0.658 0.783 0.167
O: 0.667 0.283 0.158
O: 0.717 0.842 0.333
O: 0.783 0.167 0.658
O: 0.833 0.342 0.217
O: 0.842 0.333 0.717

Largest 10 diffraction maxima, in order of rising 2θ, 2θ from 5° to 70°:
Position (°2θ)  Rel. int.
22.18  80
28.48  100
34.40  34
41.31  28
45.25  13
46.31  21
46.85  39
54.82  21
58.05  19
58.95  9


[3]
Structure and computed powder diffraction line list of Ba3USe6 (a structure optimized by DFT (GGA-PBE); Cu Kα (weighted mean of Kα1 and Kα2)).

Atomic structure:
Unit cell a=8.910 b=8.910 c=8.910 alpha=89.65 beta=89.65 gamma=89.65
Fractional coordinates of all 20 atoms:
Ba: 0.118 0.750 0.382
Ba: 0.250 0.618 0.882
Ba: 0.382 0.118 0.750
Ba: 0.618 0.882 0.250
Ba: 0.750 0.382 0.118
Ba: 0.882 0.250 0.618
U: 0.000 0.000 0.000
U: 0.500 0.500 0.500
Se: 0.062 0.925 0.712
Se: 0.075 0.288 0.938
Se: 0.212 0.425 0.562
Se: 0.288 0.938 0.075
Se: 0.425 0.562 0.212
Se: 0.438 0.788 0.575
Se: 0.562 0.212 0.425
Se: 0.575 0.438 0.788
Se: 0.712 0.062 0.925
Se: 0.788 0.575 0.438
Se: 0.925 0.712 0.062
Se: 0.938 0.075 0.288

Largest 10 diffraction maxima, in order of rising 2θ, 2θ from 5° to 70°:
Position (°2θ)  Rel. int.
14.02  100
24.54  38
30.17  31
31.70  39
31.82  35
33.37  82
37.59  20
43.09  22
45.41  25
50.32  19


What is the formula in the third record?
Ba3USe6